Diffraction record for MgNiPdF6. The powder XRD pattern is calculated, not measured: it uses a GGA+U-relaxed structure and Cu Kα, 1.54184 Å.
Intensities are scaled so that the largest is 100.

The 10 most intense peaks (5 to 70 degrees two-theta), sorted by position:
2theta	I/Imax
20.56	33.1
26.07	100.0
32.13	13.6
33.53	57.8
38.49	15.8
41.81	14.1
50.95	67.9
53.63	19.6
64.15	14.2
64.75	24.4

Cell and atoms:
```
MgNiPdF6
1.0
4.834 0.000 0.000
0.000 4.834 0.000
0.000 0.000 9.621
Mg Ni Pd F
2 2 2 12
Cartesian
0.000 0.000 0.000
2.417 2.417 4.811
0.000 0.000 3.219
2.417 2.417 8.029
0.000 0.000 6.423
2.417 2.417 1.612
0.878 0.878 1.596
0.979 0.979 8.148
0.986 0.986 4.708
1.431 3.403 9.519
1.438 3.395 3.337
1.539 3.295 6.407
3.295 1.539 6.407
3.395 1.438 3.337
3.403 1.431 9.519
3.847 3.847 4.708
3.855 3.855 8.148
3.955 3.955 1.596
```